Theoretical powder diffraction line list of LiMnSiO4 for Cu Ka, from a cell relaxed with GGA+U.
Neutral-atom scattering factors, no anomalous dispersion.

Largest 12 diffraction maxima, by angle, 10 to 90 degrees two-theta:
Position (°2θ)	I (rel.)	hkl
17.66	43	0 2 0
20.47	50	1 1 0
25.29	100	1 1 1
29.65	68	0 0 2
32.58	18	1 3 0
35.92	91	1 3 1
36.29	28	1 1 -2
39.59	20	1 2 2
48.41	19	2 0 -2
51.93	34	2 2 2
56.76	23	1 3 3
63.58	19	0 6 2

Cell and atoms:
```
LiMnSiO4
1.0
4.8114 0.0000 0.0000
0.0000 10.0436 0.0000
-0.0032 0.0000 6.0273
Li Mn Si O
4 4 4 16
Direct
0.2473 0.0000 0.2360
0.2508 0.9942 0.7348
0.7492 0.4942 0.2652
0.7527 0.5000 0.7640
0.2302 0.2712 0.0026
0.2693 0.7220 0.5006
0.7307 0.2220 0.4994
0.7698 0.7712 0.9974
0.1856 0.4029 0.5206
0.3155 0.5901 0.0196
0.6845 0.0901 0.9804
0.8144 0.9029 0.4794
0.0204 0.3235 0.3168
0.0226 0.1010 0.9886
0.0328 0.3365 0.7422
0.0656 0.5566 0.5123
0.4348 0.4362 0.0156
0.4684 0.6578 0.2404
0.4761 0.8926 0.4873
0.4806 0.6683 0.8144
0.5194 0.1683 0.1856
0.5239 0.3926 0.5127
0.5316 0.1578 0.7596
0.5652 0.9362 0.9844
0.9344 0.0566 0.4877
0.9672 0.8365 0.2578
0.9774 0.6010 0.0114
0.9796 0.8235 0.6832
```